Computed XRD peak list
Compound: Sr3Be2B5HO13
Radiation: Cu Ka
Structure: the GGA-PBE geometry in Alexandria
Neutral-atom scattering factors, no anomalous dispersion.

Structure:
```
Sr3Be2B5HO13
1.0
4.247 -5.204 0.000
4.247 5.204 0.000
-2.385 0.000 6.129
Sr Be B H O
3 2 5 1 13
direct
0.000 0.000 0.000
0.416 0.991 0.572
0.991 0.416 0.572
0.300 0.580 0.161
0.580 0.300 0.161
0.441 0.905 0.026
0.451 0.451 0.503
0.588 0.588 0.907
0.905 0.441 0.026
0.962 0.962 0.540
0.634 0.634 0.234
0.039 0.807 0.618
0.058 0.058 0.407
0.094 0.419 0.989
0.328 0.819 0.147
0.336 0.569 0.408
0.419 0.094 0.989
0.438 0.438 0.713
0.529 0.529 0.106
0.569 0.336 0.408
0.578 0.808 0.930
0.807 0.039 0.618
0.808 0.578 0.930
0.819 0.328 0.147
```

Largest 6 diffraction maxima, in order of falling intensity, 5° ≤ 2θ ≤ 70°:
28.33°, I 100; 22.42°, I 57; 29.14°, I 53; 46.98°, I 37; 41.20°, I 32; 34.45°, I 28